Diffraction record for Dy2ErTm6. The powder XRD pattern is calculated, not measured: it uses a structure optimized by DFT (PBE) and a wavelength of 1.5418 Å.
Intensities are scaled so that the largest is 100.

Principal peaks in the range 10° ≤ 2θ ≤ 80°, sorted by position:
- 31.34 deg, intensity 100
- 36.28 deg, intensity 17
- 36.38 deg, intensity 34
- 52.35 deg, intensity 36
- 62.20 deg, intensity 14
- 62.34 deg, intensity 28
- 65.40 deg, intensity 12
- 77.02 deg, intensity 2
- 77.27 deg, intensity 4

Cell and atoms:
Unit cell a=10.477 b=10.477 c=4.952 alpha=90.00 beta=90.00 gamma=90.00
Space group P4_2/mnm (No. 136)
Asymmetric unit:
Dy1 0.167 0.167 0.000 [4 per cell]
Er1 0.000 0.000 0.500 [2 per cell]
Tm1 0.000 0.334 0.500 [8 per cell]
Tm2 0.167 0.833 0.000 [4 per cell]

---

Diffraction record for NaSr3Pd. The powder XRD pattern is calculated, not measured: it uses a structure optimized by DFT (PBE) and a wavelength of 1.5418 Å.
Intensities are scaled so that the largest is 100.

Principal peaks in the range 10° ≤ 2θ ≤ 80°, sorted by position:
- 12.81 deg, intensity 55
- 26.52 deg, intensity 100
- 29.09 deg, intensity 59
- 29.71 deg, intensity 59
- 30.28 deg, intensity 62
- 31.18 deg, intensity 30
- 31.44 deg, intensity 33
- 35.49 deg, intensity 36
- 38.75 deg, intensity 32
- 43.06 deg, intensity 33

Cell and atoms:
Unit cell a=21.537 b=4.202 c=9.159 alpha=90.00 beta=91.11 gamma=90.00
Space group C2/m (No. 12)
Asymmetric unit:
Na1 0.218 0.000 0.348 [4 per cell]
Sr1 0.035 0.000 0.192 [4 per cell]
Sr2 0.094 0.500 0.581 [4 per cell]
Sr3 0.167 0.000 0.919 [4 per cell]
Pd1 0.060 0.500 0.921 [4 per cell]

---

Diffraction record for MnIn5I2Br4. The powder XRD pattern is calculated, not measured: it uses a structure optimized by DFT (PBE) and a wavelength of 1.5418 Å.
Intensities are scaled so that the largest is 100.

Principal peaks in the range 10° ≤ 2θ ≤ 80°, sorted by position:
- 19.17 deg, intensity 69
- 20.04 deg, intensity 93
- 25.80 deg, intensity 100
- 28.05 deg, intensity 44
- 28.63 deg, intensity 59
- 29.86 deg, intensity 44
- 30.85 deg, intensity 45
- 36.70 deg, intensity 59
- 40.52 deg, intensity 50
- 47.42 deg, intensity 38

Cell and atoms:
Unit cell a=8.434 b=18.520 c=6.361 alpha=90.00 beta=90.00 gamma=90.00
Space group Amm2 (No. 38)
Asymmetric unit:
Mn1 0.000 0.000 0.000 [2 per cell]
In1 0.192 0.250 0.180 [8 per cell]
In2 0.500 0.000 0.128 [2 per cell]
I1 0.500 0.171 0.333 [4 per cell]
Br1 0.000 0.108 0.252 [4 per cell]
Br2 0.245 0.000 0.788 [4 per cell]

---

Diffraction record for Cd2In3Sn7. The powder XRD pattern is calculated, not measured: it uses a structure optimized by DFT (PBE) and a wavelength of 1.5418 Å.
Intensities are scaled so that the largest is 100.

Principal peaks in the range 10° ≤ 2θ ≤ 80°, sorted by position:
- 28.94 deg, intensity 27
- 32.92 deg, intensity 68
- 33.01 deg, intensity 100
- 33.40 deg, intensity 42
- 33.60 deg, intensity 33
- 33.71 deg, intensity 43
- 34.67 deg, intensity 23
- 37.02 deg, intensity 28
- 54.61 deg, intensity 23
- 65.71 deg, intensity 22

Cell and atoms:
Unit cell a=5.335 b=3.361 c=18.512 alpha=90.00 beta=90.58 gamma=90.00
Space group P2/m (No. 10)
Asymmetric unit:
Cd1 0.231 0.000 0.299 [2 per cell]
In1 0.000 0.000 0.000 [1 per cell]
In2 0.262 0.500 0.635 [2 per cell]
Sn1 0.226 0.500 0.150 [2 per cell]
Sn2 0.248 0.000 0.460 [2 per cell]
Sn3 0.277 0.000 0.801 [2 per cell]
Sn4 0.500 0.500 0.000 [1 per cell]

---

Diffraction record for In. The powder XRD pattern is calculated, not measured: it uses a structure optimized by DFT (PBE) and a wavelength of 1.5418 Å.
Intensities are scaled so that the largest is 100.

Principal peaks in the range 10° ≤ 2θ ≤ 80°, sorted by position:
- 31.82 deg, intensity 100
- 36.91 deg, intensity 11
- 41.45 deg, intensity 32
- 49.51 deg, intensity 19
- 53.19 deg, intensity 2
- 60.07 deg, intensity 21
- 63.33 deg, intensity 13
- 66.50 deg, intensity 4
- 69.59 deg, intensity 20
- 75.61 deg, intensity 5

Cell and atoms:
Unit cell a=6.888 b=6.888 c=6.888 alpha=90.00 beta=90.00 gamma=90.00
Space group I-43d (No. 220)
Asymmetric unit:
In1 0.000 0.250 0.875 [12 per cell]